[1]
# Zr3Tl2Cu2S8
Calculated powder diffraction line list, copper Kα. Input: a GGA-PBE-relaxed structure.
Peak positions follow from Bragg's law for the DFT cell and can differ from measured ones.

Structural model:
```
Zr3Tl2Cu2S8
1.0
7.2713 -1.8590 0.0000
7.2713 1.8590 0.0000
-5.8516 0.0000 12.7320
Zr Tl Cu S
3 2 2 8
Cartesian
0.0000 0.0000 0.0000
0.0184 0.0000 4.8564
8.6726 0.0000 7.8756
-2.1706 0.0000 10.2060
10.8617 0.0000 2.5260
1.9728 0.0000 10.2353
6.7183 0.0000 2.4967
0.9014 0.0000 2.4324
-0.3714 0.0000 7.4036
5.5329 0.0000 0.5354
3.1432 0.0000 8.2630
5.5478 0.0000 4.4690
3.1581 0.0000 12.1966
9.0624 0.0000 5.3284
7.7896 0.0000 10.2996
```

The 6 most intense peaks (5 to 70 degrees two-theta), in order of rising 2θ:
two_theta	I/Imax
13.9	54
19.6	50
30.8	63
31.5	100
32.9	47
35.2	60

[2]
# ZrTlCuS3
Calculated powder diffraction line list, copper Kα. Input: a GGA-PBE-relaxed structure.
Peak positions follow from Bragg's law for the DFT cell and can differ from measured ones.

Structural model:
```
ZrTlCuS3
1.0
1.8705 -7.1986 0.0000
1.8705 7.1986 0.0000
0.0000 0.0000 9.8259
Zr Tl Cu S
2 2 2 6
Cartesian
0.0000 0.0000 0.0000
0.0000 0.0000 4.9130
1.8705 3.5349 7.3694
1.8705 -3.5349 2.4565
1.8705 0.5140 2.4565
1.8705 -0.5140 7.3694
1.8705 6.2986 2.4565
1.8705 1.7396 0.5147
1.8705 1.7396 4.3983
1.8705 -1.7396 5.4277
1.8705 -1.7396 9.3112
1.8705 -6.2986 7.3694
```

The 6 most intense peaks (5 to 70 degrees two-theta), in order of rising 2θ:
two_theta	I/Imax
21.9	64
24.7	39
26.2	46
31.7	100
36.6	34
37.0	34

[3]
# TmCu3S3
Calculated powder diffraction line list, copper Kα. Input: a GGA-PBE-relaxed structure.
Peak positions follow from Bragg's law for the DFT cell and can differ from measured ones.

Structural model:
```
TmCu3S3
1.0
3.3252 1.9198 6.2868
-3.3252 1.9198 6.2868
0.0000 -3.8396 6.2868
Tm Cu S
2 6 6
Cartesian
0.0000 0.0000 3.1417
0.0000 0.0000 15.7187
-1.1176 -1.9355 7.1003
-2.2350 0.0002 11.7601
-1.1173 1.9356 7.1003
1.1173 -1.9356 11.7602
2.2350 -0.0002 7.1003
1.1177 1.9355 11.7601
-2.2206 -0.0046 7.8809
-1.1063 -1.9255 10.9795
1.1143 -1.9208 7.8810
-1.1143 1.9208 10.9795
1.1063 1.9255 7.8809
2.2206 0.0046 10.9795
```

The 6 most intense peaks (5 to 70 degrees two-theta), in order of rising 2θ:
two_theta	I/Imax
16.1	29
18.0	21
30.4	100
39.4	73
47.4	54
66.0	18

[4]
# TmCu2S2
Calculated powder diffraction line list, copper Kα. Input: a GGA-PBE-relaxed structure.
Peak positions follow from Bragg's law for the DFT cell and can differ from measured ones.

Structural model:
```
TmCu2S2
1.0
3.9378 0.0000 0.0000
-1.9689 3.4103 0.0000
0.0000 0.0000 6.2386
Tm Cu S
1 2 2
Cartesian
0.0000 0.0000 0.0000
0.0000 2.2735 2.1006
1.9689 1.1368 4.1380
0.0000 2.2735 4.6069
1.9689 1.1368 1.6316
```

The 6 most intense peaks (5 to 70 degrees two-theta), in order of rising 2θ:
two_theta	I/Imax
14.2	17
29.9	100
39.1	69
46.1	46
62.0	17
65.3	24

[5]
# U6Cu2S13
Calculated powder diffraction line list, copper Kα. Input: a GGA-PBE-relaxed structure.
Peak positions follow from Bragg's law for the DFT cell and can differ from measured ones.

Structural model:
```
U6Cu2S13
1.0
5.1493 -6.1615 0.0000
5.1493 6.1615 0.0000
-3.3757 0.0000 13.8248
U Cu S
12 4 26
Cartesian
0.5084 4.0258 12.3015
1.1613 2.0556 8.8962
0.5511 0.0747 4.9437
-1.1367 -0.0747 11.8561
4.7266 4.0258 8.4358
2.8492 -2.0556 1.9838
4.0737 2.0556 11.8411
2.1963 -4.0258 5.3890
8.0596 0.0747 1.9688
6.3718 -0.0747 8.8812
5.7616 -2.0556 4.9287
6.4145 -4.0258 1.5234
4.4083 1.7669 1.7867
4.2025 1.7669 5.1257
2.7204 -1.7669 8.6991
2.5146 -1.7669 12.0382
2.2007 3.9985 7.2692
3.5017 3.7224 1.1856
-1.1595 0.4594 9.2259
0.5284 -0.4594 2.3134
2.2918 2.0491 4.1069
2.6175 4.0402 10.3686
1.2459 1.4377 11.5425
3.0343 3.9985 13.4680
3.2584 0.2487 0.6501
5.1091 3.7224 5.7268
1.5705 -0.2487 7.5625
0.6039 -2.0491 11.0193
3.9891 1.4377 9.1948
2.9337 -1.4377 4.6301
6.3190 2.0491 2.8055
5.3524 0.2487 6.2624
1.8138 -3.7224 8.0981
3.6645 -0.2487 13.1748
3.8886 -3.9985 0.3568
5.6770 -1.4377 2.2824
4.3054 -4.0402 3.4562
4.6311 -2.0491 9.7179
6.3945 0.4594 11.5114
8.0823 -0.4594 4.5990
3.4212 -3.7224 12.6392
4.7222 -3.9985 6.5556
```

The 6 most intense peaks (5 to 70 degrees two-theta), in order of rising 2θ:
two_theta	I/Imax
17.7	16
25.7	100
27.0	16
27.7	14
27.8	18
44.1	39

[6]
# V7Cu2S12
Calculated powder diffraction line list, copper Kα. Input: a GGA-PBE-relaxed structure.
Peak positions follow from Bragg's law for the DFT cell and can differ from measured ones.

Structural model:
```
V7Cu2S12
1.0
6.6562 0.0000 0.0000
-1.9105 6.4296 0.0000
-0.0084 -2.5928 7.5983
V Cu S
7 2 12
Cartesian
0.0000 0.0000 0.0000
-0.3463 0.1093 6.4247
0.0235 5.0071 3.7003
1.2420 3.9659 1.3767
3.4954 -0.1291 6.2217
4.7138 -1.1703 3.8980
5.0837 3.7275 1.1736
1.5791 1.2731 2.5374
3.1583 2.5637 5.0610
-0.0095 -0.6134 2.3697
-0.1834 2.8726 2.8287
-0.1667 2.2547 7.3205
1.5565 1.8823 0.1084
1.5786 0.6539 4.9387
1.3941 4.1589 5.3516
3.3433 -0.3221 2.2467
3.1587 3.1829 2.6596
3.1808 1.9545 7.4900
4.9041 1.5821 0.2779
4.9208 0.9641 4.7696
4.7469 4.4502 5.2286
```

The 6 most intense peaks (5 to 70 degrees two-theta), in order of rising 2θ:
two_theta	I/Imax
17.3	98
35.0	100
44.5	65
44.7	64
45.2	60
47.8	67

Question: What is the formula in the sixth record?
Answer: V7Cu2S12